Simulated powder diffraction line list
Compound: UHgPd14
Radiation: Cu Kα (λ = 1.5418 Å)
Structure: a DFT-relaxed cell (PBE, Alexandria)
Intensities are scaled so that the largest is 100.

Principal peaks in the range 10 to 90 degrees two-theta, low angle first:
d/Å, two_theta, I_rel
7.681, 11.5, 5
4.108, 21.6, 2
3.623, 24.6, 4
2.805, 31.9, 2
2.317, 38.9, 100
2.054, 44.1, 35
1.920, 47.3, 15
1.452, 64.1, 11
1.403, 66.7, 20
1.231, 77.6, 26
1.171, 82.3, 11
1.158, 83.4, 11

Structural model:
Lattice parameters (Å, degrees): 5.8099 5.8099 7.6805 90.00 90.00 90.00
Fractional positions:
U1 0.0000 0.0000 0.0000
Hg1 0.5000 0.5000 0.0000
Pd1 0.0000 0.0000 0.5000
Pd2 0.0000 0.5000 0.0000
Pd3 0.0000 0.5000 0.5000
Pd4 0.2451 0.2451 0.2502
Pd5 0.2451 0.2451 0.7498
Pd6 0.2451 0.7549 0.2502
Pd7 0.2451 0.7549 0.7498
Pd8 0.5000 0.0000 0.0000
Pd9 0.5000 0.0000 0.5000
Pd10 0.5000 0.5000 0.5000
Pd11 0.7549 0.2451 0.2502
Pd12 0.7549 0.2451 0.7498
Pd13 0.7549 0.7549 0.2502
Pd14 0.7549 0.7549 0.7498

Simulated powder diffraction line list
Compound: UHg2Pd9
Radiation: Cu Kα (λ = 1.5418 Å)
Structure: a DFT-relaxed cell (PBE, Alexandria)
Intensities are scaled so that the largest is 100.

Principal peaks in the range 10 to 90 degrees two-theta, low angle first:
d/Å, two_theta, I_rel
4.081, 21.8, 10
2.885, 31.0, 9
2.356, 38.2, 100
2.044, 44.3, 16
2.039, 44.4, 33
1.826, 50.0, 4
1.666, 55.1, 4
1.443, 64.6, 32
1.360, 69.1, 3
1.232, 77.5, 12
1.230, 77.7, 25
1.178, 81.8, 11

Structural model:
Lattice parameters (Å, degrees): 4.0773 4.0773 12.2626 90.00 90.00 90.00
Fractional positions:
U1 0.0000 0.0000 0.0000
Hg1 0.0000 0.0000 0.3369
Hg2 0.0000 0.0000 0.6631
Pd1 0.0000 0.5000 0.1607
Pd2 0.0000 0.5000 0.5000
Pd3 0.0000 0.5000 0.8393
Pd4 0.5000 0.0000 0.1607
Pd5 0.5000 0.0000 0.5000
Pd6 0.5000 0.0000 0.8393
Pd7 0.5000 0.5000 0.0000
Pd8 0.5000 0.5000 0.3296
Pd9 0.5000 0.5000 0.6704

Simulated powder diffraction line list
Compound: Y3Hg3Pd2
Radiation: Cu Kα (λ = 1.5418 Å)
Structure: a DFT-relaxed cell (PBE, Alexandria)
Intensities are scaled so that the largest is 100.

Principal peaks in the range 10 to 90 degrees two-theta, low angle first:
d/Å, two_theta, I_rel
3.718, 23.9, 32
3.238, 27.5, 16
2.658, 33.7, 91
2.489, 36.1, 100
2.465, 36.5, 49
2.195, 41.1, 15
2.068, 43.8, 52
1.859, 49.0, 19
1.639, 56.1, 13
1.489, 62.3, 41
1.399, 66.9, 23
1.340, 70.2, 20

Structural model:
Lattice parameters (Å, degrees): 7.6029 7.6029 3.7183 90.00 90.00 120.00
Fractional positions:
Y1 0.0000 0.5910 0.0000
Y2 0.4090 0.4090 0.0000
Y3 0.5910 0.0000 0.0000
Hg1 0.0000 0.2372 0.5000
Hg2 0.2372 0.0000 0.5000
Hg3 0.7628 0.7628 0.5000
Pd1 0.3333 0.6667 0.5000
Pd2 0.6667 0.3333 0.5000

Simulated powder diffraction line list
Compound: YHgPd6
Radiation: Cu Kα (λ = 1.5418 Å)
Structure: a DFT-relaxed cell (PBE, Alexandria)
Intensities are scaled so that the largest is 100.

Principal peaks in the range 10 to 90 degrees two-theta, low angle first:
d/Å, two_theta, I_rel
5.749, 15.4, 6
3.368, 26.5, 3
2.571, 34.9, 1
2.364, 38.1, 100
2.187, 41.3, 3
2.078, 43.6, 17
2.033, 44.6, 32
1.453, 64.1, 21
1.437, 64.9, 10
1.248, 76.3, 13
1.228, 77.8, 24
1.182, 81.4, 11

Structural model:
Lattice parameters (Å, degrees): 5.7492 5.7492 4.1562 90.00 90.00 90.00
Fractional positions:
Y1 0.0000 0.0000 0.0000
Hg1 0.5000 0.5000 0.0000
Pd1 0.0000 0.5000 0.0000
Pd2 0.2530 0.2530 0.5000
Pd3 0.2530 0.7470 0.5000
Pd4 0.5000 0.0000 0.0000
Pd5 0.7470 0.2530 0.5000
Pd6 0.7470 0.7470 0.5000

Simulated powder diffraction line list
Compound: Y11Hg9Pd4
Radiation: Cu Kα (λ = 1.5418 Å)
Structure: a DFT-relaxed cell (PBE, Alexandria)
Intensities are scaled so that the largest is 100.

Principal peaks in the range 10 to 90 degrees two-theta, low angle first:
d/Å, two_theta, I_rel
3.665, 24.3, 15
2.897, 30.9, 9
2.808, 31.9, 9
2.759, 32.5, 11
2.713, 33.0, 10
2.582, 34.7, 100
2.573, 34.9, 53
2.398, 37.5, 10
2.364, 38.1, 9
2.106, 42.9, 12
1.833, 49.8, 15
1.493, 62.2, 20

Structural model:
Lattice parameters (Å, degrees): 13.1316 13.1316 3.6654 90.00 90.00 112.84
Fractional positions:
Y1 0.0000 0.0000 0.0000
Y2 0.0737 0.4134 0.0000
Y3 0.1671 0.8329 0.0000
Y4 0.2973 0.2973 0.0000
Y5 0.3690 0.6310 0.0000
Y6 0.4134 0.0737 0.0000
Y7 0.5866 0.9263 0.0000
Y8 0.6310 0.3690 0.0000
Y9 0.7027 0.7027 0.0000
Y10 0.8329 0.1671 0.0000
Y11 0.9263 0.5866 0.0000
Hg1 0.0645 0.2139 0.5000
Hg2 0.1532 0.6300 0.5000
Hg3 0.2139 0.0645 0.5000
Hg4 0.3700 0.8468 0.5000
Hg5 0.5000 0.5000 0.5000
Hg6 0.6300 0.1532 0.5000
Hg7 0.7861 0.9355 0.5000
Hg8 0.8468 0.3700 0.5000
Hg9 0.9355 0.7861 0.5000
Pd1 0.2510 0.4489 0.5000
Pd2 0.4489 0.2510 0.5000
Pd3 0.5511 0.7490 0.5000
Pd4 0.7490 0.5511 0.5000

Simulated powder diffraction line list
Compound: Zn2HgPd9
Radiation: Cu Kα (λ = 1.5418 Å)
Structure: a DFT-relaxed cell (PBE, Alexandria)
Intensities are scaled so that the largest is 100.

Principal peaks in the range 10 to 90 degrees two-theta, low angle first:
d/Å, two_theta, I_rel
3.765, 23.6, 4
3.297, 27.0, 2
2.537, 35.4, 3
2.287, 39.4, 100
1.986, 45.7, 33
1.970, 46.1, 15
1.521, 60.9, 2
1.404, 66.6, 11
1.399, 66.9, 19
1.197, 80.2, 24
1.190, 80.8, 10
1.144, 84.8, 10

Structural model:
Lattice parameters (Å, degrees): 3.9723 3.9723 11.8185 90.00 90.00 90.00
Fractional positions:
Zn1 0.0000 0.0000 0.1619
Zn2 0.0000 0.0000 0.8381
Hg1 0.0000 0.0000 0.5000
Pd1 0.0000 0.5000 0.0000
Pd2 0.0000 0.5000 0.3222
Pd3 0.0000 0.5000 0.6778
Pd4 0.5000 0.0000 0.0000
Pd5 0.5000 0.0000 0.3222
Pd6 0.5000 0.0000 0.6778
Pd7 0.5000 0.5000 0.1608
Pd8 0.5000 0.5000 0.5000
Pd9 0.5000 0.5000 0.8392

Simulated powder diffraction line list
Compound: ZnHgPd
Radiation: Cu Kα (λ = 1.5418 Å)
Structure: a DFT-relaxed cell (PBE, Alexandria)
Intensities are scaled so that the largest is 100.

Principal peaks in the range 10 to 90 degrees two-theta, low angle first:
d/Å, two_theta, I_rel
6.959, 12.7, 16
3.801, 23.4, 17
3.625, 24.6, 23
3.106, 28.7, 48
2.837, 31.5, 23
2.361, 38.1, 26
2.232, 40.4, 100
2.163, 41.8, 74
1.879, 48.5, 13
1.553, 59.5, 26
1.289, 73.5, 17
1.275, 74.4, 27

Structural model:
Lattice parameters (Å, degrees): 7.4204 7.4204 7.4204 35.01 35.01 35.01
Fractional positions:
Zn1 0.1143 0.1143 0.1143
Zn2 0.8857 0.8857 0.8857
Hg1 0.3761 0.3761 0.3761
Hg2 0.6239 0.6239 0.6239
Pd1 0.2354 0.2354 0.2354
Pd2 0.7646 0.7646 0.7646

Simulated powder diffraction line list
Compound: ZnHg3Pd6
Radiation: Cu Kα (λ = 1.5418 Å)
Structure: a DFT-relaxed cell (PBE, Alexandria)
Intensities are scaled so that the largest is 100.

Principal peaks in the range 10 to 90 degrees two-theta, low angle first:
d/Å, two_theta, I_rel
3.282, 27.2, 15
2.322, 38.8, 50
2.317, 38.9, 57
2.268, 39.7, 99
2.262, 39.9, 100
1.640, 56.1, 34
1.566, 59.0, 14
1.331, 70.8, 14
1.328, 71.0, 32
1.327, 71.0, 18
1.297, 72.9, 23
1.131, 85.9, 10

Structural model:
Lattice parameters (Å, degrees): 7.8118 4.6341 9.7894 90.00 108.04 90.00
Fractional positions:
Zn1 0.0476 0.2500 0.4037
Zn2 0.9524 0.7500 0.5963
Hg1 0.2287 0.2500 0.0047
Hg2 0.3575 0.7500 0.7882
Hg3 0.4621 0.2500 0.6089
Hg4 0.5379 0.7500 0.3911
Hg5 0.6425 0.2500 0.2118
Hg6 0.7713 0.7500 0.9953
Pd1 0.0540 0.7500 0.8757
Pd2 0.1369 0.2500 0.6877
Pd3 0.1485 0.7500 0.1901
Pd4 0.2284 0.7500 0.4893
Pd5 0.3270 0.2500 0.3100
Pd6 0.4517 0.7500 0.0875
Pd7 0.5483 0.2500 0.9125
Pd8 0.6730 0.7500 0.6900
Pd9 0.7716 0.2500 0.5107
Pd10 0.8515 0.2500 0.8099
Pd11 0.8631 0.7500 0.3123
Pd12 0.9460 0.2500 0.1243